[1]
Diffraction record for K2SnH2OF6. The powder diffractogram is simulated, not measured: it uses DFT lattice parameters and positions (GGA-PBE) and CuKα.

Largest 10 diffraction maxima, in order of falling intensity, 2θ = 15–90°:
- 2θ 27.70, I 100.0
- 2θ 17.15, I 64.4
- 2θ 19.24, I 61.1
- 2θ 19.74, I 39.7
- 2θ 16.42, I 39.3
- 2θ 39.06, I 36.7
- 2θ 49.70, I 30.1
- 2θ 40.09, I 26.0
- 2θ 26.40, I 22.2
- 2θ 28.26, I 21.7

Crystal structure
abc: 11.2479 10.9924 9.2451
angles: 66.89 64.01 49.11
Element x y z (fractional)
K: 0.0950 0.6550 0.6550
K: 0.2493 0.2493 0.5007
K: 0.3450 0.9050 0.9050
K: 0.4993 0.4993 0.7507
K: 0.5007 0.5007 0.2493
K: 0.6550 0.0950 0.0950
K: 0.7507 0.7507 0.4993
K: 0.9050 0.3450 0.3450
Sn: 0.1540 0.5960 0.1540
Sn: 0.4040 0.8460 0.4040
Sn: 0.5960 0.1540 0.5960
Sn: 0.8460 0.4040 0.8460
H: 0.0076 0.1116 0.1268
H: 0.1116 0.0076 0.2539
H: 0.1268 0.2539 0.0076
H: 0.2539 0.1268 0.1116
H: 0.7461 0.8732 0.8884
H: 0.8732 0.7461 0.9924
H: 0.8884 0.9924 0.7461
H: 0.9924 0.8884 0.8732
O: 0.0274 0.0274 0.2226
O: 0.2226 0.2226 0.0274
O: 0.7774 0.7774 0.9726
O: 0.9726 0.9726 0.7774
F: 0.0257 0.5041 0.3006
F: 0.0605 0.1850 0.8496
F: 0.1504 0.5951 0.9395
F: 0.1651 0.6094 0.3572
F: 0.1850 0.0605 0.4049
F: 0.3006 0.6696 0.0257
F: 0.3304 0.6994 0.4959
F: 0.3572 0.3683 0.1651
F: 0.3683 0.3572 0.6094
F: 0.3906 0.8349 0.6317
F: 0.4049 0.8496 0.1850
F: 0.4959 0.9743 0.3304
F: 0.5041 0.0257 0.6696
F: 0.5951 0.1504 0.8150
F: 0.6094 0.1651 0.3683
F: 0.6317 0.6428 0.3906
F: 0.6428 0.6317 0.8349
F: 0.6696 0.3006 0.5041
F: 0.6994 0.3304 0.9743
F: 0.8150 0.9395 0.5951
F: 0.8349 0.3906 0.6428
F: 0.8496 0.4049 0.0605
F: 0.9395 0.8150 0.1504
F: 0.9743 0.4959 0.6994

[2]
Diffraction record for K4Ti2H2O5F8. The powder diffractogram is simulated, not measured: it uses DFT lattice parameters and positions (GGA-PBE) and CuKα.

Largest 10 diffraction maxima, in order of falling intensity, 2θ = 15–90°:
- 2θ 40.18, I 100.0
- 2θ 26.54, I 97.2
- 2θ 15.06, I 94.8
- 2θ 16.24, I 76.1
- 2θ 25.87, I 69.1
- 2θ 39.34, I 56.4
- 2θ 26.19, I 52.5
- 2θ 34.19, I 45.6
- 2θ 30.36, I 40.9
- 2θ 19.49, I 40.6

Crystal structure
abc: 9.4537 9.4537 12.5524
angles: 117.51 117.51 41.61
Element x y z (fractional)
K: 0.0830 0.5737 0.1756
K: 0.1651 0.6878 0.8793
K: 0.3122 0.8349 0.6207
K: 0.4263 0.9170 0.3244
K: 0.5737 0.0830 0.6756
K: 0.6878 0.1651 0.3793
K: 0.8349 0.3122 0.1207
K: 0.9170 0.4263 0.8244
Ti: 0.1616 0.4913 0.4673
Ti: 0.4913 0.1616 0.9673
Ti: 0.5087 0.8384 0.0327
Ti: 0.8384 0.5087 0.5327
H: 0.0392 0.8741 0.6904
H: 0.1259 0.9608 0.8096
H: 0.8741 0.0392 0.1904
H: 0.9608 0.1259 0.3096
O: 0.0109 0.9891 0.2500
O: 0.0398 0.7438 0.4307
O: 0.2562 0.9602 0.0693
O: 0.2715 0.5621 0.4252
O: 0.4379 0.7285 0.0748
O: 0.5621 0.2715 0.9252
O: 0.7285 0.4379 0.5748
O: 0.7438 0.0398 0.9307
O: 0.9602 0.2562 0.5693
O: 0.9891 0.0109 0.7500
F: 0.0978 0.3706 0.3029
F: 0.1491 0.3119 0.5160
F: 0.2113 0.4630 0.9781
F: 0.2252 0.5811 0.6418
F: 0.3119 0.1491 0.0160
F: 0.3706 0.0978 0.8029
F: 0.4189 0.7748 0.8582
F: 0.4630 0.2113 0.4781
F: 0.5370 0.7887 0.5219
F: 0.5811 0.2252 0.1418
F: 0.6294 0.9022 0.1971
F: 0.6881 0.8509 0.9840
F: 0.7748 0.4189 0.3582
F: 0.7887 0.5370 0.0219
F: 0.8509 0.6881 0.4840
F: 0.9022 0.6294 0.6971